# 1
Calculated XRD peak list of V2Re2O11 for Cu Kα, 1.54184 Å, from a cell relaxed with GGA+U.

Atomic structure:
Lattice parameters (Å, degrees): 6.3913 7.7582 10.8209 85.49 88.06 67.50
Space group P1 (No. 1)
Inequivalent atoms, fractional coordinates:
1 V 0.0000 0.0000 0.0000 (multiplicity 1)
2 V 0.2038 0.5672 0.0776 (multiplicity 1)
3 V 0.4887 0.9048 0.6221 (multiplicity 1)
4 V 0.7311 0.4418 0.5009 (multiplicity 1)
5 Re 0.0523 0.8186 0.5300 (multiplicity 1)
6 Re 0.2908 0.2885 0.3803 (multiplicity 1)
7 Re 0.4224 0.1812 0.8691 (multiplicity 1)
8 Re 0.6186 0.7437 0.0705 (multiplicity 1)
9 O 0.0970 0.5824 0.5389 (multiplicity 1)
10 O 0.1413 0.8787 0.3872 (multiplicity 1)
11 O 0.1658 0.1298 0.8913 (multiplicity 1)
12 O 0.1948 0.8677 0.6538 (multiplicity 1)
13 O 0.2193 0.5088 0.2321 (multiplicity 1)
14 O 0.2996 0.7701 0.0402 (multiplicity 1)
15 O 0.3170 0.3841 0.9691 (multiplicity 1)
16 O 0.3257 0.1288 0.5154 (multiplicity 1)
17 O 0.3750 0.3048 0.7266 (multiplicity 1)
18 O 0.3962 0.1317 0.2692 (multiplicity 1)
19 O 0.5045 0.9920 0.0314 (multiplicity 1)
20 O 0.5058 0.3757 0.4161 (multiplicity 1)
21 O 0.5390 0.9298 0.7738 (multiplicity 1)
22 O 0.5906 0.6808 0.5527 (multiplicity 1)
23 O 0.6360 0.6880 0.2281 (multiplicity 1)
24 O 0.7131 0.5417 0.9899 (multiplicity 1)
25 O 0.7236 0.1295 0.8903 (multiplicity 1)
26 O 0.7576 0.9470 0.5445 (multiplicity 1)
27 O 0.8449 0.2785 0.6090 (multiplicity 1)
28 O 0.9173 0.7658 0.0376 (multiplicity 1)
29 O 0.9363 0.1139 0.1228 (multiplicity 1)
30 O 0.9836 0.3733 0.3793 (multiplicity 1)

Top 8 peaks for 2θ = 10–90°, low angle first:
| index | 2theta | intensity |
| --- | --- | --- |
| 1 0 0 | 15.00 | 316 |
| 1 1 0 | 15.38 | 432 |
| 0 0 2 | 16.44 | 719 |
| 1 0 1 | 17.06 | 386 |
| 0 1 2 | 19.90 | 1000 |
| 0 1 -2 | 21.33 | 727 |
| 1 0 2 | 22.30 | 409 |
| 2 1 0 | 27.95 | 757 |



# 2
Calculated XRD peak list of VReO4 for Cu Kα, 1.54184 Å, from a cell relaxed with GGA+U.

Atomic structure:
Lattice parameters (Å, degrees): 4.6302 5.6481 10.1858 90.00 90.00 90.00
Space group Pbcn (No. 60)
Inequivalent atoms, fractional coordinates:
1 V 0.0000 0.0000 0.0000 (multiplicity 4)
2 Re 0.0000 0.3034 0.2500 (multiplicity 4)
3 O 0.2070 0.2838 0.0844 (multiplicity 8)
4 O 0.2395 0.0403 0.3220 (multiplicity 8)

Top 8 peaks for 2θ = 10–90°, low angle first:
| index | 2theta | intensity |
| --- | --- | --- |
| 0 0 2 | 17.41 | 383 |
| 1 1 1 | 26.38 | 1000 |
| 1 1 2 | 30.52 | 259 |
| 0 0 4 | 35.24 | 162 |
| 1 1 3 | 36.44 | 546 |
| 1 1 5 | 51.62 | 159 |
| 2 0 4 | 53.49 | 143 |
| 2 2 2 | 54.31 | 205 |



# 3
Calculated XRD peak list of V2Re2O11 for Cu Kα, 1.54184 Å, from a cell relaxed with GGA+U.

Atomic structure:
Lattice parameters (Å, degrees): 6.8387 18.0863 7.7403 90.00 90.00 90.00
Space group Cmc2_1 (No. 36)
Inequivalent atoms, fractional coordinates:
1 V 0.0000 0.0066 0.0000 (multiplicity 4)
2 V 0.0000 0.2029 0.0111 (multiplicity 4)
3 Re 0.0000 0.2102 0.5030 (multiplicity 4)
4 Re 0.0000 0.4443 0.9451 (multiplicity 4)
5 O 0.0000 0.0037 0.2174 (multiplicity 4)
6 O 0.0000 0.1089 0.9590 (multiplicity 4)
7 O 0.0000 0.1128 0.4818 (multiplicity 4)
8 O 0.0000 0.2129 0.2303 (multiplicity 4)
9 O 0.0000 0.2160 0.7294 (multiplicity 4)
10 O 0.0000 0.3785 0.1073 (multiplicity 4)
11 O 0.0000 0.3987 0.7488 (multiplicity 4)
12 O 0.2096 0.4983 0.4625 (multiplicity 8)
13 O 0.2340 0.2538 0.4711 (multiplicity 8)

Top 8 peaks for 2θ = 10–90°, low angle first:
| index | 2theta | intensity |
| --- | --- | --- |
| 0 2 1 | 15.07 | 527 |
| 0 4 0 | 19.63 | 683 |
| 1 3 1 | 22.77 | 1000 |
| 0 0 2 | 22.98 | 676 |
| 2 0 0 | 26.06 | 615 |
| 1 5 0 | 27.90 | 445 |
| 2 2 1 | 30.24 | 323 |
| 1 3 2 | 30.40 | 403 |



# 4
Calculated XRD peak list of V2Re2O11 for Cu Kα, 1.54184 Å, from a cell relaxed with GGA+U.

Atomic structure:
Lattice parameters (Å, degrees): 7.1246 12.9800 9.1464 90.00 90.00 90.00
Space group Cmc2_1 (No. 36)
Inequivalent atoms, fractional coordinates:
1 V 0.0000 0.0643 0.0000 (multiplicity 4)
2 V 0.0000 0.2755 0.2268 (multiplicity 4)
3 Re 0.0000 0.2031 0.6403 (multiplicity 4)
4 Re 0.0000 0.4987 0.0334 (multiplicity 4)
5 O 0.0000 0.0758 0.5349 (multiplicity 4)
6 O 0.0000 0.1344 0.1569 (multiplicity 4)
7 O 0.0000 0.1492 0.8238 (multiplicity 4)
8 O 0.0000 0.2530 0.4082 (multiplicity 4)
9 O 0.0000 0.3388 0.6644 (multiplicity 4)
10 O 0.0000 0.3875 0.9329 (multiplicity 4)
11 O 0.0000 0.4459 0.2123 (multiplicity 4)
12 O 0.2174 0.4429 0.4801 (multiplicity 8)
13 O 0.2363 0.2975 0.1381 (multiplicity 8)

Top 8 peaks for 2θ = 10–90°, low angle first:
| index | 2theta | intensity |
| --- | --- | --- |
| 1 1 1 | 17.19 | 521 |
| 0 0 2 | 19.41 | 758 |
| 0 2 2 | 23.80 | 869 |
| 1 3 0 | 24.08 | 892 |
| 2 0 0 | 25.00 | 1000 |
| 1 3 2 | 31.10 | 457 |
| 0 2 4 | 41.92 | 443 |
| 1 5 4 | 55.01 | 447 |



# 5
Calculated XRD peak list of VReO4 for Cu Kα, 1.54184 Å, from a cell relaxed with GGA+U.

Atomic structure:
Lattice parameters (Å, degrees): 6.6199 6.8537 2.9249 90.00 90.00 90.00
Space group Cmmm (No. 65)
Inequivalent atoms, fractional coordinates:
1 V 0.0000 0.0000 0.0000 (multiplicity 2)
2 Re 0.0000 0.5000 0.5000 (multiplicity 2)
3 O 0.0000 0.2938 0.0000 (multiplicity 4)
4 O 0.2117 0.0000 0.5000 (multiplicity 4)

Top 8 peaks for 2θ = 10–90°, low angle first:
| index | 2theta | intensity |
| --- | --- | --- |
| 1 1 0 | 18.64 | 947 |
| 0 2 0 | 26.00 | 715 |
| 2 0 0 | 26.94 | 647 |
| 1 1 1 | 36.04 | 1000 |
| 2 2 0 | 37.79 | 292 |
| 0 2 1 | 40.55 | 287 |
| 1 3 1 | 52.69 | 436 |
| 3 1 1 | 53.73 | 401 |



Which formula does entry 4 have?
V2Re2O11